No. 1
# Sm5HoEr12
Computed XRD peak list, Cu Kα X-rays. Input: the PBE geometry in Alexandria.
Neutral-atom scattering factors, no anomalous dispersion.

Cell and atoms:
Unit cell a=10.3329 b=10.3329 c=5.6793 alpha=90.01 beta=90.01 gamma=111.05
Element x y z (fractional)
Sm  0.0000  0.0000  0.0000
Sm  0.1395  0.8605  0.5000
Sm  0.3625  0.6375  0.0000
Sm  0.6375  0.3625  0.0000
Sm  0.8605  0.1395  0.5000
Ho  0.5000  0.5000  0.5000
Er  0.0248  0.6668  0.0003
Er  0.1667  0.5231  0.4997
Er  0.2000  0.2000  0.5019
Er  0.3017  0.3017  0.0019
Er  0.3332  0.9752  0.9997
Er  0.4769  0.8333  0.5003
Er  0.5231  0.1667  0.4997
Er  0.6668  0.0248  0.0003
Er  0.6983  0.6983  0.9981
Er  0.8000  0.8000  0.4981
Er  0.8333  0.4769  0.5003
Er  0.9752  0.3332  0.9997

Principal peaks in the range 2θ = 15–90°, sorted by position:
- 2θ 31.52, I = 67
- 2θ 31.99, I = 100
- 2θ 32.37, I = 7
- 2θ 45.16, I = 17
- 2θ 46.59, I = 7
- 2θ 53.21, I = 6
- 2θ 56.41, I = 30
- 2θ 57.33, I = 13
- 2θ 63.16, I = 7
- 2θ 64.21, I = 7

***

No. 2
# Na2LiHg2
Computed XRD peak list, Cu Kα X-rays. Input: the PBE geometry in Alexandria.
Neutral-atom scattering factors, no anomalous dispersion.

Cell and atoms:
Unit cell a=8.6294 b=8.6294 c=3.5028 alpha=90.00 beta=90.00 gamma=90.00
Element x y z (fractional)
Na  0.1334  0.3666  0.0000
Na  0.3666  0.8666  0.0000
Na  0.6334  0.1334  0.0000
Na  0.8666  0.6334  0.0000
Li  0.0000  0.0000  0.0000
Li  0.5000  0.5000  0.0000
Hg  0.1657  0.6657  0.5000
Hg  0.3343  0.1657  0.5000
Hg  0.6657  0.8343  0.5000
Hg  0.8343  0.3343  0.5000

Principal peaks in the range 2θ = 15–90°, sorted by position:
- 2θ 20.58, I = 30
- 2θ 23.05, I = 84
- 2θ 25.43, I = 28
- 2θ 32.82, I = 28
- 2θ 34.58, I = 100
- 2θ 41.94, I = 23
- 2θ 43.23, I = 20
- 2θ 44.55, I = 20
- 2θ 50.82, I = 27
- 2θ 51.99, I = 20

***

No. 3
# CsThH
Computed XRD peak list, Cu Kα X-rays. Input: the PBE geometry in Alexandria.
Neutral-atom scattering factors, no anomalous dispersion.

Cell and atoms:
Unit cell a=14.9992 b=3.7069 c=3.7069 alpha=59.98 beta=90.00 gamma=90.00
Element x y z (fractional)
Cs  0.1331  0.0000  0.0000
Cs  0.8669  0.0000  0.0000
Th  0.3916  0.3360  0.3360
Th  0.6084  0.3360  0.3360
H  0.0000  0.3327  0.3327
H  0.5000  0.0016  0.0016

Principal peaks in the range 2θ = 15–90°, sorted by position:
- 2θ 23.73, I = 55
- 2θ 27.79, I = 38
- 2θ 28.44, I = 100
- 2θ 33.17, I = 42
- 2θ 36.86, I = 31
- 2θ 41.19, I = 47
- 2θ 49.16, I = 27
- 2θ 55.29, I = 33
- 2θ 57.77, I = 14
- 2θ 62.83, I = 13